Structure and theoretical powder XRD pattern of LiGeBO4 (a cell relaxed with GGA-PBE; copper Kα).
Lines closer than 0.1° are merged.

The 10 most intense peaks (2θ = 10–90°), by angle:
two_theta  d (Å)  Rel. int.
17.8  4.978  100.0
24.9  3.581  44.8
32.4  2.761  16.6
33.6  2.669  14.1
35.8  2.510  29.4
37.2  2.415  21.1
38.3  2.352  27.0
50.1  1.820  12.4
53.5  1.714  12.4
61.0  1.520  17.1

Structural model:
Cell: 5.338 5.522 9.956 Å, 90.00 90.00 90.00°
Space group Fmm2 (No. 42)
One atom of each set of equivalent atoms:
Li 0.000 0.000 0.000 x4
Ge 0.000 0.000 0.264 x4
B 0.000 0.000 0.740 x4
O 0.000 0.210 0.842 x8
O 0.228 0.000 0.656 x8